Entry 1:
Sr2MoP2: calculated powder XRD pattern (λ = 1.5418 Å (Cu Kα)), based on a structure optimized by DFT (PBE).
Lines closer than 0.1° are merged.

Structural model:
Cell: 6.8194 6.8194 4.7082 Å, 90.00 90.00 90.00°
Space group P4/mbm (No. 127)
One atom of each set of equivalent atoms:
Sr 0.1682 0.3318 0.0000 [4 per cell]
Mo 0.0000 0.0000 0.5000 [2 per cell]
P 0.1486 0.6486 0.5000 [4 per cell]

Peak list (10 most intense, 10 to 90 degrees two-theta, most intense first)
2θ (°), d_spacing, Rel. int.
35.06, 2.560, 100
32.42, 2.762, 57
26.46, 3.369, 46
41.89, 2.156, 45
38.23, 2.354, 34
58.00, 1.590, 33
59.21, 1.560, 18
29.28, 3.050, 18
60.90, 1.521, 15
37.30, 2.411, 15


Entry 2:
NbCdPdRuI: calculated powder XRD pattern (λ = 1.5418 Å (Cu Kα)), based on a structure optimized by DFT (PBE).
Lines closer than 0.1° are merged.

Structural model:
Cell: 3.5346 5.0545 7.2173 Å, 91.18 100.98 110.31°
Space group P1 (No. 1)
One atom of each set of equivalent atoms:
Nb 0.0000 0.0000 0.0000 [1 per cell]
Cd 0.9767 0.2435 0.6256 [1 per cell]
Pd 0.6800 0.4253 0.9207 [1 per cell]
Ru 0.3325 0.8401 0.7792 [1 per cell]
I 0.8849 0.6403 0.3065 [1 per cell]

Peak list (10 most intense, 10 to 90 degrees two-theta, most intense first)
2θ (°), d_spacing, Rel. int.
12.55, 7.054, 100
39.10, 2.304, 77
40.26, 2.240, 59
42.48, 2.128, 58
38.30, 2.350, 49
43.51, 2.080, 48
33.11, 2.705, 46
27.53, 3.240, 40
45.10, 2.010, 38
23.65, 3.762, 38


Entry 3:
Sm6Tl2Ge: calculated powder XRD pattern (λ = 1.5418 Å (Cu Kα)), based on a structure optimized by DFT (PBE).
Lines closer than 0.1° are merged.

Structural model:
Cell: 8.5947 8.5947 4.2277 Å, 90.00 90.00 120.00°
Space group P-62m (No. 189)
One atom of each set of equivalent atoms:
Sm 0.0000 0.2541 0.0000 [3 per cell]
Sm 0.0000 0.6039 0.5000 [3 per cell]
Tl 0.3333 0.6667 0.0000 [2 per cell]
Ge 0.0000 0.0000 0.5000 [1 per cell]

Peak list (10 most intense, 10 to 90 degrees two-theta, most intense first)
2θ (°), d_spacing, Rel. int.
29.64, 3.014, 100
32.04, 2.793, 65
31.81, 2.813, 49
36.21, 2.481, 46
38.43, 2.342, 31
58.27, 1.583, 30
57.25, 1.609, 25
54.28, 1.690, 22
42.78, 2.114, 22
61.12, 1.516, 15


Entry 4:
HfGaAu: calculated powder XRD pattern (λ = 1.5418 Å (Cu Kα)), based on a structure optimized by DFT (PBE).
Lines closer than 0.1° are merged.

Structural model:
Cell: 10.9890 3.2817 7.4436 Å, 90.00 123.54 90.00°
Space group Cm (No. 8)
One atom of each set of equivalent atoms:
Hf 0.0000 0.0000 0.0000 [2 per cell]
Hf 0.2037 0.0000 0.6683 [2 per cell]
Ga 0.2451 0.5000 0.3714 [2 per cell]
Ga 0.4645 0.0000 0.6585 [2 per cell]
Au 0.2358 0.5000 0.0140 [2 per cell]
Au 0.4799 0.0000 0.3138 [2 per cell]

Peak list (10 most intense, 10 to 90 degrees two-theta, most intense first)
2θ (°), d_spacing, Rel. int.
39.37, 2.288, 100
34.77, 2.580, 80
37.04, 2.427, 72
36.82, 2.441, 66
43.77, 2.068, 41
70.64, 1.333, 36
49.98, 1.825, 24
56.05, 1.641, 21
16.53, 5.363, 21
38.99, 2.310, 20


Entry 5:
LiDy3Te8Pb3: calculated powder XRD pattern (λ = 1.5418 Å (Cu Kα)), based on a structure optimized by DFT (PBE).
Lines closer than 0.1° are merged.

Structural model:
Cell: 8.8515 8.8515 22.5393 Å, 90.00 90.00 120.00°
Space group R-3m (No. 166, hexagonal axes)
One atom of each set of equivalent atoms:
Li 0.0000 0.0000 0.0000 [3 per cell]
Dy 0.0000 0.5000 0.0000 [9 per cell]
Te 0.0000 0.0000 0.2548 [6 per cell]
Te 0.0004 0.5002 0.2572 [18 per cell]
Pb 0.0000 0.5000 0.5000 [9 per cell]

Peak list (10 most intense, 10 to 90 degrees two-theta, most intense first)
2θ (°), d_spacing, Rel. int.
28.16, 3.169, 100
39.70, 2.270, 38
40.78, 2.213, 38
50.29, 1.814, 20
66.66, 1.403, 17
65.14, 1.432, 17
13.97, 6.338, 15
73.51, 1.288, 13
58.22, 1.585, 13
19.55, 4.540, 7


Entry 6:
LaSm5: calculated powder XRD pattern (λ = 1.5418 Å (Cu Kα)), based on a structure optimized by DFT (PBE).
Lines closer than 0.1° are merged.

Structural model:
Cell: 5.1569 15.5298 5.1594 Å, 90.00 90.00 90.00°
Space group Cmmm (No. 65)
One atom of each set of equivalent atoms:
La 0.0000 0.0000 0.0000 [2 per cell]
Sm 0.0000 0.1673 0.5000 [4 per cell]
Sm 0.0000 0.3315 0.0000 [4 per cell]
Sm 0.0000 0.5000 0.5000 [2 per cell]

Peak list (10 most intense, 10 to 90 degrees two-theta, most intense first)
2θ (°), d_spacing, Rel. int.
29.97, 2.982, 100
34.78, 2.579, 34
59.41, 1.556, 29
49.92, 1.827, 24
34.66, 2.588, 17
59.24, 1.560, 14
62.28, 1.491, 12
50.01, 1.824, 12
81.14, 1.185, 12
83.83, 1.154, 8


Entry 7:
Y3Ga9Os2: calculated powder XRD pattern (λ = 1.5418 Å (Cu Kα)), based on a structure optimized by DFT (PBE).
Lines closer than 0.1° are merged.

Structural model:
Cell: 4.2736 9.4432 12.5146 Å, 90.00 90.00 90.00°
Space group Immm (No. 71)
One atom of each set of equivalent atoms:
Y 0.0000 0.0000 0.0000 [2 per cell]
Y 0.0000 0.0000 0.2984 [4 per cell]
Ga 0.0000 0.2845 0.1317 [8 per cell]
Ga 0.0000 0.3637 0.3476 [8 per cell]
Ga 0.0000 0.5000 0.0000 [2 per cell]
Os 0.0000 0.1736 0.5000 [4 per cell]

Peak list (10 most intense, 10 to 90 degrees two-theta, most intense first)
2θ (°), d_spacing, Rel. int.
35.58, 2.523, 100
38.32, 2.349, 61
42.30, 2.137, 55
46.09, 1.969, 43
36.85, 2.439, 41
35.73, 2.513, 41
14.15, 6.257, 32
44.43, 2.039, 31
11.74, 7.538, 28
43.38, 2.086, 25


Entry 8:
Dy2Te3F: calculated powder XRD pattern (λ = 1.5418 Å (Cu Kα)), based on a structure optimized by DFT (PBE).
Lines closer than 0.1° are merged.

Structural model:
Cell: 11.6520 4.1366 13.1152 Å, 90.00 90.00 90.00°
Space group Pnma (No. 62)
One atom of each set of equivalent atoms:
Dy 0.0610 0.2500 0.1760 [4 per cell]
Dy 0.1964 0.2500 0.5253 [4 per cell]
Te 0.0729 0.7500 0.3813 [4 per cell]
Te 0.1203 0.2500 0.9377 [4 per cell]
Te 0.1670 0.7500 0.6966 [4 per cell]
F 0.1345 0.7500 0.1331 [4 per cell]

Peak list (10 most intense, 10 to 90 degrees two-theta, most intense first)
2θ (°), d_spacing, Rel. int.
29.75, 3.003, 100
32.35, 2.768, 71
30.73, 2.910, 67
31.46, 2.844, 44
40.29, 2.239, 41
43.77, 2.068, 39
35.83, 2.506, 33
54.86, 1.673, 26
26.62, 3.349, 24
37.61, 2.392, 24


Entry 9:
Pr5Nd2Ho6: calculated powder XRD pattern (λ = 1.5418 Å (Cu Kα)), based on a structure optimized by DFT (PBE).
Lines closer than 0.1° are merged.

Structural model:
Cell: 11.7838 20.7393 3.6253 Å, 90.00 90.00 90.00°
Space group Pbam (No. 55)
One atom of each set of equivalent atoms:
Pr 0.0000 0.0000 0.0000 [2 per cell]
Pr 0.0819 0.2807 0.0000 [4 per cell]
Pr 0.2004 0.5551 0.0000 [4 per cell]
Nd 0.1766 0.7200 0.5000 [4 per cell]
Ho 0.0642 0.4249 0.5000 [4 per cell]
Ho 0.0728 0.1365 0.5000 [4 per cell]
Ho 0.1826 0.8713 0.0000 [4 per cell]

Peak list (10 most intense, 10 to 90 degrees two-theta, most intense first)
2θ (°), d_spacing, Rel. int.
31.09, 2.876, 100
31.74, 2.819, 82
30.65, 2.917, 59
33.79, 2.653, 40
36.13, 2.486, 26
34.57, 2.595, 26
60.10, 1.539, 22
50.34, 1.813, 20
28.86, 3.094, 19
51.34, 1.780, 18


Entry 10:
Sm2ErSe4: calculated powder XRD pattern (λ = 1.5418 Å (Cu Kα)), based on a structure optimized by DFT (PBE).
Lines closer than 0.1° are merged.

Structural model:
Cell: 3.9838 13.7533 13.9816 Å, 90.00 90.00 90.00°
Space group Cmcm (No. 63)
One atom of each set of equivalent atoms:
Sm 0.0000 0.1299 0.0712 [8 per cell]
Er 0.0000 0.3719 0.2500 [4 per cell]
Se 0.0000 0.0212 0.2500 [4 per cell]
Se 0.0000 0.2198 0.6252 [8 per cell]
Se 0.0000 0.5000 0.0000 [4 per cell]

Peak list (10 most intense, 10 to 90 degrees two-theta, most intense first)
2θ (°), d_spacing, Rel. int.
23.05, 3.858, 100
32.41, 2.762, 97
30.41, 2.940, 66
39.93, 2.258, 53
44.02, 2.057, 44
45.55, 1.991, 43
28.65, 3.116, 35
41.95, 2.153, 35
65.20, 1.431, 27
51.64, 1.770, 24


Entry 11:
In2GaHg4Pb: calculated powder XRD pattern (λ = 1.5418 Å (Cu Kα)), based on a structure optimized by DFT (PBE).
Lines closer than 0.1° are merged.

Structural model:
Cell: 7.1220 10.2381 12.1283 Å, 90.00 90.00 90.00°
Space group F222 (No. 22)
One atom of each set of equivalent atoms:
In 0.0000 0.0000 0.0000 [4 per cell]
In 0.2500 0.2500 0.2500 [4 per cell]
Ga 0.2500 0.2500 0.7500 [4 per cell]
Hg 0.0000 0.0000 0.2449 [8 per cell]
Hg 0.2500 0.2500 0.5112 [8 per cell]
Pb 0.0000 0.0000 0.5000 [4 per cell]

Peak list (10 most intense, 10 to 90 degrees two-theta, most intense first)
2θ (°), d_spacing, Rel. int.
30.58, 2.923, 100
42.98, 2.104, 78
29.46, 3.032, 53
35.06, 2.560, 35
46.43, 1.956, 31
68.36, 1.372, 20
71.68, 1.317, 17
69.90, 1.346, 17
60.13, 1.539, 15
60.28, 1.535, 14